# Te2W3S4
Computed powder X-ray diffraction pattern, Cu Kα, 1.54184 Å. Input: a structure optimized by DFT (PBE).
Intensities are scaled so that the largest is 1000.

Unit cell a=3.300 b=3.300 c=26.844 alpha=90.00 beta=90.00 gamma=120.00
Fractional coordinates of all 9 atoms:
Te: 0.000 0.000 0.072
Te: 0.000 0.000 0.928
W: 0.000 0.000 0.274
W: 0.000 0.000 0.726
W: 0.333 0.667 0.000
S: 0.333 0.667 0.217
S: 0.333 0.667 0.332
S: 0.333 0.667 0.668
S: 0.333 0.667 0.783

Top 8 peaks for 2θ from 5° to 70°, by intensity:
9.88°, rel. 1000
13.19°, rel. 558
37.34°, rel. 504
35.59°, rel. 477
43.88°, rel. 464
31.30°, rel. 324
55.71°, rel. 191
6.59°, rel. 176

***

# Y2TeS
Computed powder X-ray diffraction pattern, Cu Kα, 1.54184 Å. Input: a structure optimized by DFT (PBE).
Intensities are scaled so that the largest is 1000.

Unit cell a=5.748 b=6.310 c=11.489 alpha=90.00 beta=90.00 gamma=90.00
Fractional coordinates of all 16 atoms:
Y: 0.000 0.187 0.136
Y: 0.000 0.194 0.608
Y: 0.000 0.806 0.392
Y: 0.000 0.813 0.864
Y: 0.500 0.187 0.364
Y: 0.500 0.194 0.892
Y: 0.500 0.806 0.108
Y: 0.500 0.813 0.636
Te: 0.000 0.308 0.872
Te: 0.000 0.692 0.128
Te: 0.500 0.308 0.628
Te: 0.500 0.692 0.372
S: 0.000 0.242 0.372
S: 0.000 0.758 0.628
S: 0.500 0.242 0.128
S: 0.500 0.758 0.872

Top 8 peaks for 2θ from 5° to 70°, by intensity:
31.13°, rel. 1000
36.04°, rel. 486
42.56°, rel. 480
28.29°, rel. 391
44.60°, rel. 347
53.66°, rel. 230
58.63°, rel. 214
63.23°, rel. 196

***

# Y3Te3S
Computed powder X-ray diffraction pattern, Cu Kα, 1.54184 Å. Input: a structure optimized by DFT (PBE).
Intensities are scaled so that the largest is 1000.

Unit cell a=8.131 b=8.131 c=7.674 alpha=97.62 beta=97.62 gamma=117.96
Fractional coordinates of all 14 atoms:
Y: 0.018 0.018 0.247
Y: 0.170 0.478 0.768
Y: 0.478 0.170 0.768
Y: 0.522 0.830 0.232
Y: 0.830 0.522 0.232
Y: 0.982 0.982 0.753
Te: 0.180 0.820 0.000
Te: 0.249 0.751 0.500
Te: 0.334 0.334 0.093
Te: 0.666 0.666 0.907
Te: 0.751 0.249 0.500
Te: 0.820 0.180 0.000
S: 0.229 0.229 0.569
S: 0.771 0.771 0.431

Top 8 peaks for 2θ from 5° to 70°, by intensity:
30.99°, rel. 1000
26.49°, rel. 927
34.92°, rel. 704
33.82°, rel. 429
34.07°, rel. 324
40.71°, rel. 220
32.89°, rel. 218
17.46°, rel. 216

***

# ZnTeS4
Computed powder X-ray diffraction pattern, Cu Kα, 1.54184 Å. Input: a structure optimized by DFT (PBE).
Intensities are scaled so that the largest is 1000.

Unit cell a=7.507 b=7.507 c=7.507 alpha=132.03 beta=117.68 gamma=82.30
Fractional coordinates of all 12 atoms:
Zn: 0.500 0.000 0.000
Zn: 0.500 0.500 0.500
Te: 0.000 0.000 0.000
Te: 0.500 0.000 0.500
S: 0.236 0.234 0.002
S: 0.262 0.334 0.572
S: 0.262 0.691 0.928
S: 0.269 0.766 0.502
S: 0.731 0.234 0.498
S: 0.738 0.309 0.072
S: 0.738 0.666 0.428
S: 0.764 0.766 0.998

Top 8 peaks for 2θ from 5° to 70°, by intensity:
28.35°, rel. 1000
37.48°, rel. 832
49.86°, rel. 755
31.66°, rel. 749
16.50°, rel. 715
13.83°, rel. 650
36.33°, rel. 346
46.76°, rel. 307